Record 1
Starting from the GGA+U geometry in the Materials Project, the powder diffractogram of Li4Cr2C4SO16 was simulated for Cu Ka.

Crystal structure
```
Li4Cr2C4SO16
1.0
0.000 6.615 7.021
6.475 0.000 7.021
6.475 6.615 0.000
Li Cr C S O
8 4 8 2 32
direct
0.077 0.673 0.077 Li
0.079 0.671 0.671 Li
0.327 0.923 0.327 Li
0.329 0.921 0.921 Li
0.671 0.079 0.079 Li
0.673 0.077 0.673 Li
0.921 0.329 0.329 Li
0.923 0.327 0.923 Li
0.000 0.500 0.500 Cr
0.500 0.000 0.500 Cr
0.500 0.500 0.000 Cr
0.500 0.500 0.500 Cr
0.271 0.651 0.292 C
0.286 0.292 0.651 C
0.292 0.286 0.271 C
0.349 0.729 0.714 C
0.651 0.271 0.286 C
0.708 0.714 0.729 C
0.714 0.708 0.349 C
0.729 0.349 0.708 C
0.125 0.125 0.125 S
0.875 0.875 0.875 S
0.046 0.319 0.069 O
0.066 0.069 0.319 O
0.069 0.066 0.046 O
0.134 0.643 0.420 O
0.141 0.310 0.657 O
0.141 0.414 0.288 O
0.288 0.657 0.141 O
0.303 0.420 0.643 O
0.310 0.141 0.393 O
0.319 0.046 0.066 O
0.343 0.607 0.859 O
0.343 0.712 0.586 O
0.357 0.866 0.697 O
0.393 0.657 0.310 O
0.414 0.141 0.657 O
0.420 0.303 0.134 O
0.580 0.697 0.866 O
0.586 0.859 0.343 O
0.607 0.343 0.690 O
0.643 0.134 0.303 O
0.657 0.288 0.414 O
0.657 0.393 0.141 O
0.681 0.954 0.934 O
0.690 0.859 0.607 O
0.697 0.580 0.357 O
0.712 0.343 0.859 O
0.859 0.586 0.712 O
0.859 0.690 0.343 O
0.866 0.357 0.580 O
0.931 0.934 0.954 O
0.934 0.931 0.681 O
0.954 0.681 0.931 O
```

Peak list (10 most intense, 10° ≤ 2θ ≤ 80°, low angle first)
two_theta  I_rel
11.45  100
18.43  30
18.64  27
21.27  68
22.22  53
22.57  58
27.55  26
33.34  31
35.21  22
35.91  22



Record 2
Starting from the GGA+U geometry in the Materials Project, the powder diffractogram of MgV4O8 was simulated for Cu Ka.

Crystal structure
```
MgV4O8
1.0
5.632 0.000 0.000
2.719 4.935 0.000
0.027 0.007 6.616
Mg V O
1 4 8
direct
0.000 0.000 0.000 Mg
0.229 0.228 0.717 V
0.232 0.231 0.276 V
0.553 0.552 0.495 V
0.734 0.733 0.996 V
0.372 0.939 0.996 O
0.396 0.920 0.496 O
0.443 0.443 0.702 O
0.447 0.444 0.286 O
0.847 0.844 0.194 O
0.848 0.850 0.801 O
0.921 0.395 0.496 O
0.939 0.372 0.994 O
```

Peak list (10 most intense, 10° ≤ 2θ ≤ 80°, low angle first)
two_theta  I_rel
18.29  57
22.48  100
22.73  18
31.22  52
31.78  21
32.59  69
32.71  18
34.60  31
49.22  19
56.43  19



Record 3
Starting from the GGA+U geometry in the Materials Project, the powder diffractogram of Li3VB5O10 was simulated for Cu Ka.

Crystal structure
```
Li3VB5O10
1.0
6.961 0.000 0.000
3.383 6.352 0.000
3.251 -0.137 8.820
Li V B O
6 2 10 20
direct
0.023 0.185 0.462 Li
0.189 0.995 0.840 Li
0.229 0.504 0.243 Li
0.771 0.496 0.757 Li
0.811 0.005 0.160 Li
0.977 0.815 0.538 Li
0.224 0.506 0.876 V
0.776 0.494 0.124 V
0.223 0.165 0.132 B
0.257 0.282 0.601 B
0.300 0.809 0.074 B
0.365 0.752 0.567 B
0.407 0.862 0.293 B
0.593 0.138 0.707 B
0.635 0.248 0.433 B
0.700 0.191 0.926 B
0.743 0.718 0.399 B
0.777 0.835 0.868 B
0.050 0.302 0.619 O
0.142 0.371 0.100 O
0.223 0.741 0.703 O
0.234 0.024 0.038 O
0.250 0.705 0.999 O
0.272 0.845 0.449 O
0.303 0.086 0.255 O
0.346 0.216 0.725 O
0.400 0.316 0.461 O
0.403 0.724 0.188 O
0.597 0.276 0.812 O
0.600 0.684 0.539 O
0.654 0.784 0.275 O
0.697 0.914 0.745 O
0.728 0.155 0.551 O
0.750 0.295 0.001 O
0.766 0.976 0.962 O
0.777 0.259 0.297 O
0.858 0.629 0.900 O
0.950 0.698 0.381 O
```

Peak list (10 most intense, 10° ≤ 2θ ≤ 80°, low angle first)
two_theta  I_rel
10.03  51
15.60  100
17.08  31
20.73  56
28.90  54
29.48  97
30.67  74
35.39  51
43.28  30
44.50  28



Record 4
Starting from the GGA+U geometry in the Materials Project, the powder diffractogram of Na2FeO3 was simulated for Cu Ka.

Crystal structure
```
Na2FeO3
1.0
2.681 -4.652 0.000
2.681 4.652 0.000
-1.880 0.000 10.879
Na Fe O
8 4 12
direct
0.000 0.500 0.500 Na
0.087 0.913 0.750 Na
0.163 0.317 0.999 Na
0.317 0.163 0.499 Na
0.500 0.000 0.000 Na
0.683 0.837 0.501 Na
0.837 0.683 0.001 Na
0.913 0.087 0.250 Na
0.247 0.753 0.250 Fe
0.421 0.579 0.750 Fe
0.579 0.421 0.250 Fe
0.753 0.247 0.750 Fe
0.061 0.260 0.647 O
0.134 0.576 0.851 O
0.260 0.061 0.147 O
0.332 0.492 0.351 O
0.424 0.866 0.649 O
0.492 0.332 0.851 O
0.508 0.668 0.149 O
0.576 0.134 0.351 O
0.668 0.508 0.649 O
0.740 0.939 0.853 O
0.866 0.424 0.149 O
0.939 0.740 0.353 O
```

Peak list (10 most intense, 10° ≤ 2θ ≤ 80°, low angle first)
two_theta  I_rel
16.29  61
19.32  14
20.76  13
32.93  18
35.21  39
40.13  100
40.42  50
56.45  14
56.80  28
59.68  37



Record 5
Starting from the GGA+U geometry in the Materials Project, the powder diffractogram of CoH5CNCl2O2 was simulated for Cu Ka.

Crystal structure
```
CoH5CNCl2O2
1.0
6.840 0.000 0.000
1.044 6.910 0.000
3.175 1.828 12.868
Co H C N Cl O
4 20 4 4 8 8
direct
0.000 0.000 0.000 Co
0.000 0.500 0.500 Co
0.500 0.000 0.000 Co
0.500 0.500 0.500 Co
0.122 0.097 0.641 H
0.122 0.597 0.141 H
0.229 0.486 0.242 H
0.230 0.986 0.742 H
0.250 0.486 0.838 H
0.250 0.986 0.338 H
0.270 0.879 0.636 H
0.271 0.380 0.136 H
0.378 0.088 0.631 H
0.378 0.588 0.131 H
0.622 0.412 0.869 H
0.622 0.912 0.369 H
0.729 0.620 0.864 H
0.730 0.121 0.364 H
0.750 0.014 0.662 H
0.750 0.514 0.162 H
0.770 0.014 0.258 H
0.771 0.514 0.758 H
0.878 0.403 0.859 H
0.878 0.903 0.359 H
0.249 0.341 0.886 C
0.250 0.841 0.386 C
0.750 0.159 0.614 C
0.751 0.659 0.114 C
0.250 0.013 0.662 N
0.250 0.513 0.162 N
0.750 0.487 0.838 N
0.750 0.987 0.338 N
0.181 0.551 0.631 Cl
0.182 0.049 0.131 Cl
0.319 0.330 0.409 Cl
0.320 0.830 0.909 Cl
0.680 0.170 0.091 Cl
0.681 0.670 0.591 Cl
0.818 0.951 0.869 Cl
0.819 0.449 0.369 Cl
0.084 0.264 0.907 O
0.085 0.764 0.408 O
0.413 0.269 0.914 O
0.415 0.770 0.414 O
0.585 0.230 0.586 O
0.587 0.731 0.086 O
0.915 0.236 0.592 O
0.916 0.736 0.093 O
```

Peak list (10 most intense, 10° ≤ 2θ ≤ 80°, low angle first)
two_theta  I_rel
13.77  100
15.50  36
26.04  9
31.29  11
33.08  24
34.18  12
34.47  13
38.95  22
43.33  12
46.72  9